Entry 1:
Starting from a structure optimized by DFT (PBE), the powder XRD pattern of B3C was computed for Cu Kα, 1.54184 Å.
Kinematic intensities with the Lorentz-polarization factor, no thermal factor.

Structure:
```
data_B3C
_symmetry_space_group_name_H-M 'P 1'
_symmetry_Int_Tables_number 1
_symmetry_space_group_name_Hall 'P 1'
_cell_length_a 4.9857
_cell_length_b 2.7556
_cell_length_c 6.6346
_cell_angle_alpha 90.00
_cell_angle_beta 104.01
_cell_angle_gamma 90.00
loop_
_atom_site_label
_atom_site_type_symbol
_atom_site_fract_x
_atom_site_fract_y
_atom_site_fract_z
B1 B 0.0000 0.0000 0.0000
B2 B 0.0139 0.0000 0.7145
B3 B 0.0301 0.5000 0.1723
B4 B 0.2317 0.5000 0.6842
B5 B 0.2823 0.0000 0.1844
B6 B 0.3028 0.5000 0.4116
B7 B 0.7021 0.0000 0.7974
B8 B 0.7313 0.5000 0.0168
B9 B 0.9481 0.5000 0.4509
C1 C 0.4807 0.0000 0.3947
C2 C 0.5387 0.5000 0.8024
C3 C 0.7875 0.0000 0.4776
```

Peak list (10 most intense, 15° ≤ 2θ ≤ 90°, by intensity)
- 2.338 Å, 38.51 deg, I 100
- 3.041 Å, 29.37 deg, I 85
- 4.414 Å, 20.12 deg, I 41
- 1.531 Å, 60.46 deg, I 29
- 2.146 Å, 42.11 deg, I 21
- 1.305 Å, 72.41 deg, I 20
- 1.378 Å, 68.05 deg, I 17
- 1.277 Å, 74.26 deg, I 11
- 4.837 Å, 18.34 deg, I 10
- 1.387 Å, 67.51 deg, I 10

Entry 2:
Starting from a structure optimized by DFT (PBE), the powder XRD pattern of B7C was computed for Cu Kα, 1.54184 Å.
Kinematic intensities with the Lorentz-polarization factor, no thermal factor.

Structure:
```
data_B7C
_symmetry_space_group_name_H-M 'P 1'
_symmetry_Int_Tables_number 1
_symmetry_space_group_name_Hall 'P 1'
_cell_length_a 4.3833
_cell_length_b 4.3833
_cell_length_c 5.3718
_cell_angle_alpha 94.33
_cell_angle_beta 94.33
_cell_angle_gamma 37.84
loop_
_atom_site_label
_atom_site_type_symbol
_atom_site_fract_x
_atom_site_fract_y
_atom_site_fract_z
B1 B 0.0000 0.0000 0.0000
B2 B 0.1587 0.1587 0.8081
B3 B 0.2904 0.2904 0.6072
B4 B 0.5040 0.5040 0.2085
B5 B 0.6380 0.6380 0.0224
B6 B 0.7970 0.7970 0.8430
B7 B 0.9635 0.9635 0.6177
C1 C 0.4358 0.4358 0.4621
```

Peak list (10 most intense, 15° ≤ 2θ ≤ 90°, by intensity)
- 3.152 Å, 28.31 deg, I 100
- 2.378 Å, 37.83 deg, I 73
- 5.355 Å, 16.56 deg, I 65
- 1.549 Å, 59.68 deg, I 27
- 4.133 Å, 21.50 deg, I 26
- 1.365 Å, 68.79 deg, I 18
- 1.421 Å, 65.69 deg, I 14
- 1.299 Å, 72.84 deg, I 8
- 1.289 Å, 73.46 deg, I 7
- 1.296 Å, 73.02 deg, I 7

Entry 3:
Starting from a structure optimized by DFT (PBE), the powder XRD pattern of B5C7 was computed for Cu Kα, 1.54184 Å.
Kinematic intensities with the Lorentz-polarization factor, no thermal factor.

Structure:
```
data_B5C7
_symmetry_space_group_name_H-M 'P 1'
_symmetry_Int_Tables_number 1
_symmetry_space_group_name_Hall 'P 1'
_cell_length_a 3.5822
_cell_length_b 4.7754
_cell_length_c 5.4323
_cell_angle_alpha 65.70
_cell_angle_beta 88.01
_cell_angle_gamma 69.08
loop_
_atom_site_label
_atom_site_type_symbol
_atom_site_fract_x
_atom_site_fract_y
_atom_site_fract_z
B1 B 0.0000 0.0000 0.0000
B2 B 0.0512 0.3651 0.9618
B3 B 0.3543 0.3503 0.6695
B4 B 0.6688 0.6712 0.3434
B5 B 0.7503 0.0657 0.2607
C1 C 0.0108 0.0230 0.5218
C2 C 0.0917 0.3388 0.4259
C3 C 0.3244 0.3700 0.1888
C4 C 0.4077 0.7061 0.6045
C5 C 0.4236 0.6735 0.0873
C6 C 0.6495 0.7027 0.8416
C7 C 0.7560 0.0035 0.7506
```

Peak list (10 most intense, 15° ≤ 2θ ≤ 90°, by intensity)
- 2.191 Å, 41.21 deg, I 100
- 2.111 Å, 42.85 deg, I 90
- 1.345 Å, 69.96 deg, I 38
- 4.089 Å, 21.73 deg, I 32
- 1.347 Å, 69.82 deg, I 13
- 1.297 Å, 72.93 deg, I 13
- 1.232 Å, 77.46 deg, I 10
- 1.104 Å, 88.57 deg, I 8
- 1.106 Å, 88.37 deg, I 8
- 1.193 Å, 80.54 deg, I 7

Entry 4:
Starting from a structure optimized by DFT (PBE), the powder XRD pattern of B5C7 was computed for Cu Kα, 1.54184 Å.
Kinematic intensities with the Lorentz-polarization factor, no thermal factor.

Structure:
```
data_B5C7
_symmetry_space_group_name_H-M 'P 1'
_symmetry_Int_Tables_number 1
_symmetry_space_group_name_Hall 'P 1'
_cell_length_a 4.7757
_cell_length_b 2.5463
_cell_length_c 6.4918
_cell_angle_alpha 90.00
_cell_angle_beta 95.90
_cell_angle_gamma 90.00
loop_
_atom_site_label
_atom_site_type_symbol
_atom_site_fract_x
_atom_site_fract_y
_atom_site_fract_z
B1 B 0.0000 0.0000 0.0000
B2 B 0.0178 0.0000 0.2918
B3 B 0.2993 0.0000 0.5851
B4 B 0.6915 0.0000 0.7112
B5 B 0.8032 0.5000 0.3729
C1 C 0.1499 0.5000 0.6951
C2 C 0.1851 0.5000 0.9266
C3 C 0.3501 0.0000 0.3358
C4 C 0.4915 0.5000 0.2666
C5 C 0.4973 0.5000 0.0241
C6 C 0.6496 0.0000 0.9567
C7 C 0.8386 0.5000 0.6164
```

Peak list (10 most intense, 15° ≤ 2θ ≤ 90°, by intensity)
- 2.153 Å, 41.97 deg, I 100
- 2.158 Å, 41.85 deg, I 33
- 1.345 Å, 69.97 deg, I 19
- 1.342 Å, 70.14 deg, I 17
- 1.096 Å, 89.37 deg, I 15
- 4.029 Å, 22.06 deg, I 10
- 3.651 Å, 24.38 deg, I 10
- 1.273 Å, 74.53 deg, I 8
- 1.188 Å, 80.95 deg, I 8
- 1.276 Å, 74.37 deg, I 7

Entry 5:
Starting from a structure optimized by DFT (PBE), the powder XRD pattern of BC7 was computed for Cu Kα, 1.54184 Å.
Kinematic intensities with the Lorentz-polarization factor, no thermal factor.

Structure:
```
data_BC7
_symmetry_space_group_name_H-M 'P 1'
_symmetry_Int_Tables_number 1
_symmetry_space_group_name_Hall 'P 1'
_cell_length_a 2.5193
_cell_length_b 5.1231
_cell_length_c 3.6814
_cell_angle_alpha 90.00
_cell_angle_beta 90.00
_cell_angle_gamma 90.00
loop_
_atom_site_label
_atom_site_type_symbol
_atom_site_fract_x
_atom_site_fract_y
_atom_site_fract_z
B1 B 0.0000 0.0000 0.0000
C1 C 0.0000 0.2583 0.2415
C2 C 0.0000 0.5000 0.9886
C3 C 0.0000 0.7417 0.2415
C4 C 0.5000 0.0000 0.7051
C5 C 0.5000 0.2540 0.4860
C6 C 0.5000 0.5000 0.7453
C7 C 0.5000 0.7460 0.4860
```

Peak list (10 most intense, 15° ≤ 2θ ≤ 90°, by intensity)
- 2.079 Å, 43.53 deg, I 100
- 2.103 Å, 43.02 deg, I 97
- 1.286 Å, 73.69 deg, I 51
- 1.090 Å, 89.98 deg, I 16
- 1.281 Å, 74.02 deg, I 13
- 1.260 Å, 75.47 deg, I 12
- 1.107 Å, 88.31 deg, I 9
- 1.103 Å, 88.66 deg, I 7
- 5.123 Å, 17.31 deg, I 4
- 3.681 Å, 24.18 deg, I 2

Entry 6:
Starting from a structure optimized by DFT (PBE), the powder XRD pattern of B3C was computed for Cu Kα, 1.54184 Å.
Kinematic intensities with the Lorentz-polarization factor, no thermal factor.

Structure:
```
data_B3C
_symmetry_space_group_name_H-M 'P 1'
_symmetry_Int_Tables_number 1
_symmetry_space_group_name_Hall 'P 1'
_cell_length_a 4.5929
_cell_length_b 4.5929
_cell_length_c 5.9991
_cell_angle_alpha 104.90
_cell_angle_beta 104.90
_cell_angle_gamma 49.71
loop_
_atom_site_label
_atom_site_type_symbol
_atom_site_fract_x
_atom_site_fract_y
_atom_site_fract_z
B1 B 0.0000 0.0000 0.0000
B2 B 0.0463 0.5608 0.1529
B3 B 0.1639 0.4685 0.7170
B4 B 0.2019 0.0476 0.5666
B5 B 0.4141 0.5784 0.6445
B6 B 0.4216 0.5859 0.3555
B7 B 0.4392 0.9537 0.8471
B8 B 0.5315 0.8361 0.2830
B9 B 0.9524 0.7981 0.4334
C1 C 0.2397 0.1184 0.0877
C2 C 0.7626 0.2374 0.5000
C3 C 0.8816 0.7603 0.9123
```

Peak list (10 most intense, 15° ≤ 2θ ≤ 90°, by intensity)
- 2.364 Å, 38.06 deg, I 100
- 2.193 Å, 41.16 deg, I 54
- 3.477 Å, 25.62 deg, I 47
- 3.830 Å, 23.22 deg, I 42
- 2.918 Å, 30.64 deg, I 40
- 2.730 Å, 32.80 deg, I 32
- 2.825 Å, 31.67 deg, I 22
- 1.360 Å, 69.06 deg, I 15
- 3.153 Å, 28.31 deg, I 14
- 1.413 Å, 66.14 deg, I 12

Entry 7:
Starting from a structure optimized by DFT (PBE), the powder XRD pattern of B5C7 was computed for Cu Kα, 1.54184 Å.
Kinematic intensities with the Lorentz-polarization factor, no thermal factor.

Structure:
```
data_B5C7
_symmetry_space_group_name_H-M 'P 1'
_symmetry_Int_Tables_number 1
_symmetry_space_group_name_Hall 'P 1'
_cell_length_a 5.9317
_cell_length_b 5.9317
_cell_length_c 3.9061
_cell_angle_alpha 90.00
_cell_angle_beta 90.00
_cell_angle_gamma 144.95
loop_
_atom_site_label
_atom_site_type_symbol
_atom_site_fract_x
_atom_site_fract_y
_atom_site_fract_z
B1 B 0.0000 0.0000 0.0000
B2 B 0.0000 0.5000 0.2972
B3 B 0.3486 0.6514 0.0000
B4 B 0.5000 0.0000 0.7028
B5 B 0.6514 0.3486 0.0000
C1 C 0.1548 0.8452 0.5000
C2 C 0.1747 0.3369 0.7269
C3 C 0.3369 0.1747 0.2731
C4 C 0.5000 0.5000 0.5000
C5 C 0.6631 0.8253 0.2731
C6 C 0.8253 0.6631 0.7269
C7 C 0.8452 0.1548 0.5000
```

Peak list (10 most intense, 15° ≤ 2θ ≤ 90°, by intensity)
- 2.161 Å, 41.81 deg, I 100
- 1.356 Å, 69.27 deg, I 13
- 1.318 Å, 71.59 deg, I 13
- 1.297 Å, 72.95 deg, I 12
- 5.656 Å, 15.67 deg, I 11
- 3.906 Å, 22.77 deg, I 10
- 1.090 Å, 89.98 deg, I 8
- 1.164 Å, 82.98 deg, I 8
- 1.135 Å, 85.60 deg, I 7
- 1.560 Å, 59.22 deg, I 2

Entry 8:
Starting from a structure optimized by DFT (PBE), the powder XRD pattern of B3C2 was computed for Cu Kα, 1.54184 Å.
Kinematic intensities with the Lorentz-polarization factor, no thermal factor.

Structure:
```
data_B3C2
_symmetry_space_group_name_H-M 'P 1'
_symmetry_Int_Tables_number 1
_symmetry_space_group_name_Hall 'P 1'
_cell_length_a 3.7193
_cell_length_b 3.7193
_cell_length_c 4.7563
_cell_angle_alpha 113.21
_cell_angle_beta 113.21
_cell_angle_gamma 43.31
loop_
_atom_site_label
_atom_site_type_symbol
_atom_site_fract_x
_atom_site_fract_y
_atom_site_fract_z
B1 B 0.0000 0.0000 0.0000
B2 B 0.2505 0.2505 0.5853
B3 B 0.5187 0.5187 0.5102
C1 C 0.0240 0.0240 0.3414
C2 C 0.4791 0.4791 0.8287
```

Peak list (10 most intense, 15° ≤ 2θ ≤ 90°, by intensity)
- 3.131 Å, 28.51 deg, I 100
- 2.353 Å, 38.26 deg, I 54
- 4.307 Å, 20.62 deg, I 30
- 3.278 Å, 27.20 deg, I 29
- 2.283 Å, 39.47 deg, I 26
- 1.331 Å, 70.78 deg, I 18
- 1.565 Å, 59.01 deg, I 14
- 1.164 Å, 82.92 deg, I 12
- 2.026 Å, 44.72 deg, I 12
- 2.514 Å, 35.71 deg, I 12